[1]
Starting from a cell relaxed with PBE, the powder diffraction line list of Sr3Pt2 was calculated for Cu Kα, 1.54184 Å.
Neutral-atom scattering factors, no anomalous dispersion.

Largest 6 diffraction maxima, low angle first, 2θ = 5–70°:
| (hkl) | d/Å | I (rel.) |
| --- | --- | --- |
| 1 0 1 | 7.424 | 56 |
| 0 0 6 | 2.953 | 39 |
| 1 2 2 | 2.918 | 100 |
| 3 0 0 | 2.726 | 57 |
| 3 -1 4 | 2.535 | 67 |
| 1 1 6 | 2.504 | 79 |

Structural model:
```
data_Sr3Pt2
_chemical_formula_sum 'Sr27 Pt18'
_cell_length_a 9.4418
_cell_length_b 9.4418
_cell_length_c 17.7181
_cell_angle_alpha 90.00
_cell_angle_beta 90.00
_cell_angle_gamma 120.00
_symmetry_space_group_name_H-M 'R -3'
_symmetry_Int_Tables_number 148
_symmetry_space_group_name_Hall '-R 3'
loop_
_atom_site_label
_atom_site_fract_x
_atom_site_fract_y
_atom_site_fract_z
_atom_site_occupancy
Sr1 0.0000 0.0000 0.0000 1
Sr2 0.0000 0.0000 0.2034 1
Sr3 0.0182 0.2677 0.5937 1
Pt1 0.0226 0.6047 0.5650 1
```

[2]
Starting from a cell relaxed with PBE, the powder diffraction line list of LiAuO2 was calculated for Cu Kα, 1.54184 Å.
Neutral-atom scattering factors, no anomalous dispersion.

Largest 6 diffraction maxima, low angle first, 2θ = 5–70°:
| (hkl) | d/Å | I (rel.) |
| --- | --- | --- |
| 1 0 1 | 3.993 | 100 |
| 1 0 3 | 2.752 | 40 |
| 1 1 2 | 2.647 | 80 |
| 2 1 1 | 1.894 | 27 |
| 2 1 3 | 1.695 | 19 |
| 2 0 4 | 1.679 | 27 |

Structural model:
```
data_LiAuO2
_chemical_formula_sum 'Li4 Au4 O8'
_cell_length_a 4.302
_cell_length_b 4.302
_cell_length_c 10.739
_cell_angle_alpha 90.00
_cell_angle_beta 90.00
_cell_angle_gamma 90.00
_symmetry_space_group_name_H-M 'I 41 2 2'
_symmetry_Int_Tables_number 98
_symmetry_space_group_name_Hall 'I 4bw 2bw'
loop_
_atom_site_label
_atom_site_fract_x
_atom_site_fract_y
_atom_site_fract_z
_atom_site_occupancy
Li1 0.000 0.000 0.000 1
Au1 0.000 0.000 0.500 1
O1 0.247 0.750 0.125 1
```

[3]
Starting from a cell relaxed with PBE, the powder diffraction line list of NpTe was calculated for Cu Kα, 1.54184 Å.
Neutral-atom scattering factors, no anomalous dispersion.

Largest 6 diffraction maxima, low angle first, 2θ = 5–70°:
| (hkl) | d/Å | I (rel.) |
| --- | --- | --- |
| 1 0 0 | 3.779 | 11 |
| 1 1 0 | 2.672 | 100 |
| 1 1 1 | 2.182 | 4 |
| 2 0 0 | 1.889 | 18 |
| 2 1 0 | 1.690 | 5 |
| 2 1 1 | 1.543 | 39 |

Structural model:
```
data_NpTe
_chemical_formula_sum 'Np1 Te1'
_cell_length_a 3.779
_cell_length_b 3.779
_cell_length_c 3.779
_cell_angle_alpha 90.00
_cell_angle_beta 90.00
_cell_angle_gamma 90.00
_symmetry_space_group_name_H-M 'P m -3 m'
_symmetry_Int_Tables_number 221
_symmetry_space_group_name_Hall '-P 4 2 3'
loop_
_atom_site_label
_atom_site_fract_x
_atom_site_fract_y
_atom_site_fract_z
_atom_site_occupancy
Np1 0.000 0.000 0.000 1
Te1 0.500 0.500 0.500 1
```